Simulated X-ray powder pattern of Ca2CoSbO6 for Cu Ka, from DFT lattice parameters and positions (PBE+U).
Peak positions follow from Bragg's law for the DFT cell and can differ from measured ones.

Atomic structure:
Cell lengths 5.5037, 7.6874, 5.6816 Å; angles 90.00, 90.13, 90.00 degrees
Positions (direct):
Ca  0.0085  0.2500  0.0454
Ca  0.4820  0.2500  0.5670
Ca  0.5180  0.7500  0.4330
Ca  0.9915  0.7500  0.9546
Co  0.5000  0.0000  0.0000
Co  0.5000  0.5000  0.0000
Sb  0.0000  0.0000  0.5000
Sb  0.0000  0.5000  0.5000
O  0.1075  0.7500  0.5365
O  0.1914  0.0506  0.7918
O  0.1914  0.4494  0.7918
O  0.2933  0.0480  0.3054
O  0.2933  0.4520  0.3054
O  0.4222  0.7500  0.0226
O  0.5778  0.2500  0.9774
O  0.7067  0.5480  0.6946
O  0.7067  0.9520  0.6946
O  0.8086  0.5506  0.2082
O  0.8086  0.9494  0.2082
O  0.8925  0.2500  0.4635

Top 6 peaks for 10° ≤ 2θ ≤ 80°, by angle:
hkl, two_theta, I/Imax
1 0 -1, 22.49, 31
0 2 0, 23.14, 13
0 0 2, 31.49, 21
1 2 1, 32.50, 100
1 2 3, 56.71, 14
3 2 -1, 57.96, 19